(1)
Structure and theoretical powder X-ray diffraction pattern of Pm2Br3Cl (a GGA-PBE-relaxed structure; Cu Ka).

Structure:
a b c (Å): 16.875 4.019 12.894
angles (deg): 90.00 121.56 90.00
Space group C2/m (No. 12)
Inequivalent atoms, fractional coordinates:
Pm1 0.096 0.000 0.456
Pm2 0.159 0.500 0.880
Br1 0.050 0.500 0.261
Br2 0.139 0.000 0.037
Br3 0.236 0.500 0.608
Cl1 0.107 0.000 0.692

Peak list (10 most intense, 5° ≤ 2θ ≤ 70°, in order of falling intensity)
index  d_spacing  I (rel.)
2 0 -2  6.204  100
5 1 -2  2.584  86
1 1 -3  2.870  81
1 1 1  3.499  81
3 1 -4  2.512  79
1 1 -2  3.397  74
5 1 0  2.339  54
6 0 -1  2.648  52
0 2 0  2.009  46
1 1 3  2.491  44



(2)
Structure and theoretical powder X-ray diffraction pattern of Pm4TcBr2Cl (a GGA-PBE-relaxed structure; Cu Ka).

Structure:
a b c (Å): 7.652 3.730 8.053
angles (deg): 90.00 102.91 90.00
Space group P2/m (No. 10)
Inequivalent atoms, fractional coordinates:
Pm1 0.228 0.000 0.219
Pm2 0.228 0.500 0.793
Tc1 0.000 0.500 0.000
Br1 0.000 0.000 0.500
Br2 0.500 0.500 0.500
Cl1 0.500 0.000 0.000

Peak list (10 most intense, 5° ≤ 2θ ≤ 70°, in order of falling intensity)
index  d_spacing  I (rel.)
1 1 1  2.965  100
2 0 -2  3.067  46
3 1 -1  2.099  33
1 1 -3  2.167  29
2 0 2  2.445  25
0 2 0  1.865  24
2 2 -2  1.593  13
1 0 0  7.459  12
1 1 -1  3.187  11
3 1 3  1.493  11



(3)
Structure and theoretical powder X-ray diffraction pattern of PtBrCl2 (a GGA-PBE-relaxed structure; Cu Ka).

Structure:
a b c (Å): 5.424 11.544 3.534
angles (deg): 90.00 90.00 90.00
Space group Cmmm (No. 65)
Inequivalent atoms, fractional coordinates:
Pt1 0.000 0.000 0.000
Br1 0.000 0.500 0.000
Cl1 0.000 0.136 0.500

Peak list (10 most intense, 5° ≤ 2θ ≤ 70°, in order of falling intensity)
index  d_spacing  I (rel.)
0 2 0  5.772  100
1 1 0  4.909  50
0 2 1  3.014  48
2 2 1  2.016  31
0 4 1  2.235  30
2 0 0  2.712  27
2 4 1  1.725  27
2 2 0  2.455  24
0 0 1  3.534  18
1 3 1  2.347  17